Entry 1:
# MgGe3
Calculated powder diffractogram, Cu Kα (weighted mean of Kα1 and Kα2). Input: a crystal structure in the Materials Project, relaxed with GGA-PBE.
No peak broadening, texture or thermal motion is included.

Most intense lines, 10° ≤ 2θ ≤ 90°, low angle first:
Position (°2θ)  I/Imax
23.3  14
25.2  21
32.3  68
33.8  15
34.4  46
36.7  100
47.6  43
47.9  34
48.5  22
50.0  15
60.8  17
70.3  26

Atomic structure:
```
MgGe3
1.0
-1.877 5.218 2.055
1.877 -5.218 2.055
1.877 5.218 -2.055
Mg Ge
1 3
direct
0.000 0.000 0.000
0.022 0.747 0.274
0.473 0.747 0.726
0.509 0.009 0.500
```

Entry 2:
# Pb
Calculated powder diffractogram, Cu Kα (weighted mean of Kα1 and Kα2). Input: a crystal structure in the Materials Project, relaxed with GGA-PBE.
No peak broadening, texture or thermal motion is included.

Most intense lines, 10° ≤ 2θ ≤ 90°, low angle first:
Position (°2θ)  I/Imax
14.6  19
28.7  100
29.5  34
30.0  15
34.6  57
37.7  74
50.1  34
58.6  21
59.2  29
64.4  16
69.5  15
85.8  16

Atomic structure:
```
Pb
1.0
1.821 1.051 6.062
-1.821 1.051 6.062
0.000 -2.103 6.062
Pb
2
direct
0.098 0.098 0.098
0.902 0.902 0.902
```

Entry 3:
# Tb5Si3O13
Calculated powder diffractogram, Cu Kα (weighted mean of Kα1 and Kα2). Input: a crystal structure in the Materials Project, relaxed with GGA-PBE.
No peak broadening, texture or thermal motion is included.

Most intense lines, 10° ≤ 2θ ≤ 90°, low angle first:
Position (°2θ)  I/Imax
21.6  35
22.8  27
28.3  46
28.7  45
31.6  100
32.2  60
32.6  32
46.5  36
49.6  32
50.8  30
51.8  31
77.0  18

Atomic structure:
```
Tb5Si3O13
1.0
9.511 0.000 0.000
-4.755 8.237 0.000
0.000 0.000 6.840
Tb Si O
10 6 26
direct
0.001 0.767 0.250
0.233 0.234 0.250
0.234 0.001 0.750
0.333 0.667 0.004
0.333 0.667 0.496
0.667 0.333 0.504
0.667 0.333 0.996
0.766 0.999 0.250
0.767 0.766 0.750
0.999 0.233 0.750
0.027 0.628 0.750
0.372 0.399 0.750
0.399 0.027 0.250
0.601 0.973 0.750
0.628 0.601 0.250
0.973 0.372 0.250
0.000 0.000 0.250
0.000 0.000 0.750
0.089 0.752 0.560
0.089 0.752 0.940
0.128 0.529 0.750
0.169 0.489 0.250
0.248 0.338 0.560
0.248 0.338 0.940
0.320 0.831 0.250
0.338 0.089 0.060
0.338 0.089 0.440
0.401 0.872 0.750
0.471 0.599 0.750
0.489 0.320 0.750
0.511 0.680 0.250
0.529 0.401 0.250
0.599 0.128 0.250
0.662 0.911 0.560
0.662 0.911 0.940
0.680 0.169 0.750
0.752 0.662 0.060
0.752 0.662 0.440
0.831 0.511 0.750
0.872 0.471 0.250
0.911 0.248 0.060
0.911 0.248 0.440
```

Entry 4:
# LiRh2N3
Calculated powder diffractogram, Cu Kα (weighted mean of Kα1 and Kα2). Input: a crystal structure in the Materials Project, relaxed with GGA-PBE.
No peak broadening, texture or thermal motion is included.

Most intense lines, 10° ≤ 2θ ≤ 90°, low angle first:
Position (°2θ)  I/Imax
17.9  47
18.3  21
24.6  86
31.4  33
32.1  26
33.2  51
35.7  100
36.3  36
56.9  26
60.9  31
61.3  19
67.4  24

Atomic structure:
```
LiRh2N3
1.0
4.964 -2.784 0.000
4.964 2.784 0.000
0.000 0.000 5.404
Li Rh N
2 4 6
direct
0.177 0.823 0.500
0.823 0.177 0.000
0.159 0.513 0.997
0.487 0.841 0.997
0.513 0.159 0.497
0.841 0.487 0.497
0.168 0.477 0.362
0.184 0.816 0.899
0.477 0.168 0.862
0.523 0.832 0.362
0.816 0.184 0.399
0.832 0.523 0.862
```